[1]
Structure and theoretical X-ray diffraction stick pattern of Os5Au3 (a cell relaxed with PBE; Cu Kα (weighted mean of Kα1 and Kα2)).
Kinematic intensities with the Lorentz-polarization factor, no thermal factor.

Largest 10 diffraction maxima, low angle first, 15 to 90 degrees two-theta:
34.41 deg, rel. 75
37.80 deg, rel. 53
37.90 deg, rel. 41
39.86 deg, rel. 73
40.41 deg, rel. 89
41.64 deg, rel. 37
41.95 deg, rel. 100
45.24 deg, rel. 73
45.43 deg, rel. 34
46.93 deg, rel. 40

Structural model:
```
data_Os5Au3
_cell_length_a 4.756
_cell_length_b 7.834
_cell_length_c 7.872
_cell_angle_alpha 83.18
_cell_angle_beta 74.53
_cell_angle_gamma 75.27
_symmetry_space_group_name_H-M 'P -1'
_symmetry_Int_Tables_number 2
loop_
_symmetry_equiv_pos_as_xyz
'x,y,z'
'-x,-y,-z'
loop_
_atom_site_label
_atom_site_type_symbol
_atom_site_fract_x
_atom_site_fract_y
_atom_site_fract_z
Os1 Os 0.061 0.191 0.207
Os2 Os 0.223 0.246 0.858
Os3 Os 0.252 0.547 0.951
Os4 Os 0.281 0.640 0.254
Os5 Os 0.434 0.290 0.306
Au1 Au 0.203 0.512 0.595
Au2 Au 0.295 0.905 0.990
Au3 Au 0.313 0.918 0.436
```

***

[2]
Structure and theoretical X-ray diffraction stick pattern of OsRhAu2 (a cell relaxed with PBE; Cu Kα (weighted mean of Kα1 and Kα2)).
Kinematic intensities with the Lorentz-polarization factor, no thermal factor.

Largest 10 diffraction maxima, low angle first, 15 to 90 degrees two-theta:
33.71 deg, rel. 6
38.87 deg, rel. 100
44.30 deg, rel. 15
45.64 deg, rel. 33
65.49 deg, rel. 19
66.08 deg, rel. 6
66.52 deg, rel. 11
77.88 deg, rel. 9
79.81 deg, rel. 25
83.45 deg, rel. 10

Structural model:
```
data_OsRhAu2
_cell_length_a 2.811
_cell_length_b 2.811
_cell_length_c 8.179
_cell_angle_alpha 90.00
_cell_angle_beta 90.00
_cell_angle_gamma 90.00
_symmetry_space_group_name_H-M 'P 4 m m'
_symmetry_Int_Tables_number 99
loop_
_symmetry_equiv_pos_as_xyz
'x,y,z'
'-y,x,z'
'-x,-y,z'
'y,-x,z'
'-x,y,z'
'y,x,z'
'x,-y,z'
'-y,-x,z'
loop_
_atom_site_label
_atom_site_type_symbol
_atom_site_fract_x
_atom_site_fract_y
_atom_site_fract_z
Os1 Os 0.000 0.000 0.000
Rh1 Rh 0.500 0.500 0.205
Au1 Au 0.000 0.000 0.467
Au2 Au 0.500 0.500 0.741
```

***

[3]
Structure and theoretical X-ray diffraction stick pattern of OsAu2S (a cell relaxed with PBE; Cu Kα (weighted mean of Kα1 and Kα2)).
Kinematic intensities with the Lorentz-polarization factor, no thermal factor.

Largest 10 diffraction maxima, low angle first, 15 to 90 degrees two-theta:
24.14 deg, rel. 19
32.30 deg, rel. 24
34.40 deg, rel. 100
39.22 deg, rel. 78
49.45 deg, rel. 35
53.14 deg, rel. 63
64.86 deg, rel. 17
75.53 deg, rel. 21
79.26 deg, rel. 19
85.70 deg, rel. 15

Structural model:
```
data_OsAu2S
_cell_length_a 7.373
_cell_length_b 7.373
_cell_length_c 5.118
_cell_angle_alpha 90.00
_cell_angle_beta 90.00
_cell_angle_gamma 90.00
_symmetry_space_group_name_H-M 'I -4 2 d'
_symmetry_Int_Tables_number 122
_symmetry_space_group_name_Hall 'I -4 2bw'
loop_
_atom_site_label
_atom_site_type_symbol
_atom_site_fract_x
_atom_site_fract_y
_atom_site_fract_z
Os1 Os 0.000 0.000 0.000
Au1 Au 0.232 0.250 0.625
S1 S 0.000 0.000 0.500
```

***

[4]
Structure and theoretical X-ray diffraction stick pattern of Sc8Os2Au (a cell relaxed with PBE; Cu Kα (weighted mean of Kα1 and Kα2)).
Kinematic intensities with the Lorentz-polarization factor, no thermal factor.

Largest 10 diffraction maxima, low angle first, 15 to 90 degrees two-theta:
22.81 deg, rel. 80
23.09 deg, rel. 66
26.11 deg, rel. 50
36.90 deg, rel. 24
37.61 deg, rel. 39
38.24 deg, rel. 100
43.98 deg, rel. 41
44.44 deg, rel. 29
45.84 deg, rel. 21
45.98 deg, rel. 22

Structural model:
```
data_Sc8Os2Au
_cell_length_a 4.783
_cell_length_b 14.617
_cell_length_c 6.500
_cell_angle_alpha 90.00
_cell_angle_beta 90.00
_cell_angle_gamma 90.00
_symmetry_space_group_name_H-M 'I m m 2'
_symmetry_Int_Tables_number 44
loop_
_symmetry_equiv_pos_as_xyz
'x,y,z'
'-x,-y,z'
'-x,y,z'
'x,-y,z'
'x+1/2,y+1/2,z+1/2'
'-x+1/2,-y+1/2,z+1/2'
'-x+1/2,y+1/2,z+1/2'
'x+1/2,-y+1/2,z+1/2'
loop_
_atom_site_label
_atom_site_type_symbol
_atom_site_fract_x
_atom_site_fract_y
_atom_site_fract_z
Sc1 Sc 0.000 0.000 0.000
Sc2 Sc 0.000 0.112 0.573
Sc3 Sc 0.000 0.293 0.887
Sc4 Sc 0.000 0.337 0.426
Sc5 Sc 0.000 0.500 0.790
Os1 Os 0.000 0.169 0.191
Au1 Au 0.000 0.500 0.207
```

***

[5]
Structure and theoretical X-ray diffraction stick pattern of OsAuSe (a cell relaxed with PBE; Cu Kα (weighted mean of Kα1 and Kα2)).
Kinematic intensities with the Lorentz-polarization factor, no thermal factor.

Largest 10 diffraction maxima, low angle first, 15 to 90 degrees two-theta:
23.21 deg, rel. 11
35.13 deg, rel. 27
35.27 deg, rel. 39
40.06 deg, rel. 100
46.81 deg, rel. 16
50.63 deg, rel. 20
66.36 deg, rel. 12
66.53 deg, rel. 23
78.54 deg, rel. 9
86.47 deg, rel. 9

Structural model:
```
data_OsAuSe
_cell_length_a 2.881
_cell_length_b 5.090
_cell_length_c 15.326
_cell_angle_alpha 90.00
_cell_angle_beta 90.00
_cell_angle_gamma 90.00
_symmetry_space_group_name_H-M 'F m m 2'
_symmetry_Int_Tables_number 42
_symmetry_space_group_name_Hall 'F 2 -2'
loop_
_atom_site_label
_atom_site_type_symbol
_atom_site_fract_x
_atom_site_fract_y
_atom_site_fract_z
Os1 Os 0.000 0.000 0.000
Au1 Au 0.000 0.000 0.340
Se1 Se 0.000 0.000 0.627
```

***

[6]
Structure and theoretical X-ray diffraction stick pattern of Tb5Os2Au2 (a cell relaxed with PBE; Cu Kα (weighted mean of Kα1 and Kα2)).
Kinematic intensities with the Lorentz-polarization factor, no thermal factor.

Largest 10 diffraction maxima, low angle first, 15 to 90 degrees two-theta:
31.70 deg, rel. 98
33.12 deg, rel. 84
33.24 deg, rel. 84
33.42 deg, rel. 38
33.74 deg, rel. 78
35.37 deg, rel. 100
38.21 deg, rel. 61
38.43 deg, rel. 61
39.47 deg, rel. 42
70.97 deg, rel. 39

Structural model:
```
data_Tb5Os2Au2
_cell_length_a 15.528
_cell_length_b 7.489
_cell_length_c 7.540
_cell_angle_alpha 90.00
_cell_angle_beta 90.00
_cell_angle_gamma 90.00
_symmetry_space_group_name_H-M 'C m c e'
_symmetry_Int_Tables_number 64
_symmetry_space_group_name_Hall '-C 2ac 2'
loop_
_atom_site_label
_atom_site_type_symbol
_atom_site_fract_x
_atom_site_fract_y
_atom_site_fract_z
Tb1 Tb 0.000 0.000 0.000
Tb2 Tb 0.129 0.179 0.322
Os1 Os 0.000 0.118 0.617
Au1 Au 0.213 0.000 0.000
```

***

[7]
Structure and theoretical X-ray diffraction stick pattern of Th12OsAu6 (a cell relaxed with PBE; Cu Kα (weighted mean of Kα1 and Kα2)).
Kinematic intensities with the Lorentz-polarization factor, no thermal factor.

Largest 10 diffraction maxima, low angle first, 15 to 90 degrees two-theta:
22.99 deg, rel. 41
26.02 deg, rel. 15
29.18 deg, rel. 52
30.83 deg, rel. 83
32.67 deg, rel. 38
33.19 deg, rel. 100
35.81 deg, rel. 80
39.20 deg, rel. 16
49.25 deg, rel. 19
69.71 deg, rel. 15

Structural model:
```
data_Th12OsAu6
_cell_length_a 12.3983
_cell_length_b 12.3983
_cell_length_c 12.7701
_cell_angle_alpha 90.00
_cell_angle_beta 90.00
_cell_angle_gamma 120.00
_symmetry_space_group_name_H-M 'R -3'
_symmetry_Int_Tables_number 148
_symmetry_space_group_name_Hall '-R 3'
loop_
_atom_site_label
_atom_site_type_symbol
_atom_site_fract_x
_atom_site_fract_y
_atom_site_fract_z
Th1 Th 0.0313 0.8290 0.3924
Th2 Th 0.0880 0.1943 0.8605
Os1 Os 0.0000 0.0000 0.0000
Au1 Au 0.0243 0.6113 0.2825
```

***

[8]
Structure and theoretical X-ray diffraction stick pattern of Th7Os2Au2 (a cell relaxed with PBE; Cu Kα (weighted mean of Kα1 and Kα2)).
Kinematic intensities with the Lorentz-polarization factor, no thermal factor.

Largest 10 diffraction maxima, low angle first, 15 to 90 degrees two-theta:
29.04 deg, rel. 9
29.44 deg, rel. 31
30.28 deg, rel. 16
31.56 deg, rel. 34
33.86 deg, rel. 100
35.04 deg, rel. 19
36.99 deg, rel. 18
46.65 deg, rel. 19
57.41 deg, rel. 13
78.27 deg, rel. 9

Structural model:
```
data_Th7Os2Au2
_cell_length_a 3.894
_cell_length_b 15.420
_cell_length_c 10.197
_cell_angle_alpha 90.00
_cell_angle_beta 90.00
_cell_angle_gamma 90.00
_symmetry_space_group_name_H-M 'I m m 2'
_symmetry_Int_Tables_number 44
loop_
_symmetry_equiv_pos_as_xyz
'x,y,z'
'-x,-y,z'
'-x,y,z'
'x,-y,z'
'x+1/2,y+1/2,z+1/2'
'-x+1/2,-y+1/2,z+1/2'
'-x+1/2,y+1/2,z+1/2'
'x+1/2,-y+1/2,z+1/2'
loop_
_atom_site_label
_atom_site_type_symbol
_atom_site_fract_x
_atom_site_fract_y
_atom_site_fract_z
Th1 Th 0.000 0.000 0.000
Th2 Th 0.000 0.127 0.600
Th3 Th 0.000 0.312 0.383
Th4 Th 0.000 0.363 0.738
Os1 Os 0.000 0.231 0.082
Au1 Au 0.000 0.000 0.354
Au2 Au 0.000 0.500 0.251
```

***

[9]
Structure and theoretical X-ray diffraction stick pattern of OsW2Au (a cell relaxed with PBE; Cu Kα (weighted mean of Kα1 and Kα2)).
Kinematic intensities with the Lorentz-polarization factor, no thermal factor.

Largest 10 diffraction maxima, low angle first, 15 to 90 degrees two-theta:
36.28 deg, rel. 22
36.80 deg, rel. 13
39.98 deg, rel. 36
41.60 deg, rel. 100
42.07 deg, rel. 45
55.08 deg, rel. 14
65.94 deg, rel. 17
73.72 deg, rel. 19
79.98 deg, rel. 20
80.43 deg, rel. 14

Structural model:
```
data_OsW2Au
_cell_length_a 2.873
_cell_length_b 4.511
_cell_length_c 4.885
_cell_angle_alpha 90.00
_cell_angle_beta 90.00
_cell_angle_gamma 90.00
_symmetry_space_group_name_H-M 'P m m 2'
_symmetry_Int_Tables_number 25
loop_
_symmetry_equiv_pos_as_xyz
'x,y,z'
'-x,-y,z'
'-x,y,z'
'x,-y,z'
loop_
_atom_site_label
_atom_site_type_symbol
_atom_site_fract_x
_atom_site_fract_y
_atom_site_fract_z
Os1 Os 0.000 0.000 0.000
W1 W 0.500 0.000 0.510
W2 W 0.500 0.500 0.845
Au1 Au 0.000 0.500 0.344
```

***

[10]
Structure and theoretical X-ray diffraction stick pattern of ZnOsAu (a cell relaxed with PBE; Cu Kα (weighted mean of Kα1 and Kα2)).
Kinematic intensities with the Lorentz-polarization factor, no thermal factor.

Largest 10 diffraction maxima, low angle first, 15 to 90 degrees two-theta:
25.54 deg, rel. 14
37.50 deg, rel. 12
37.89 deg, rel. 34
38.73 deg, rel. 30
41.89 deg, rel. 100
55.30 deg, rel. 21
59.99 deg, rel. 8
71.17 deg, rel. 21
72.27 deg, rel. 18
78.59 deg, rel. 8

Structural model:
```
data_ZnOsAu
_cell_length_a 2.836
_cell_length_b 4.749
_cell_length_c 13.948
_cell_angle_alpha 90.00
_cell_angle_beta 90.00
_cell_angle_gamma 90.00
_symmetry_space_group_name_H-M 'F m m 2'
_symmetry_Int_Tables_number 42
_symmetry_space_group_name_Hall 'F 2 -2'
loop_
_atom_site_label
_atom_site_type_symbol
_atom_site_fract_x
_atom_site_fract_y
_atom_site_fract_z
Zn1 Zn 0.000 0.000 0.000
Os1 Os 0.000 0.000 0.345
Au1 Au 0.000 0.000 0.664
```

***

[11]
Structure and theoretical X-ray diffraction stick pattern of PAu (a cell relaxed with PBE; Cu Kα (weighted mean of Kα1 and Kα2)).
Kinematic intensities with the Lorentz-polarization factor, no thermal factor.

Largest 10 diffraction maxima, low angle first, 15 to 90 degrees two-theta:
23.69 deg, rel. 18
28.09 deg, rel. 100
31.55 deg, rel. 96
38.55 deg, rel. 54
43.53 deg, rel. 15
46.00 deg, rel. 20
46.63 deg, rel. 66
54.77 deg, rel. 32
59.94 deg, rel. 14
65.62 deg, rel. 24

Structural model:
```
data_PAu
_cell_length_a 3.290
_cell_length_b 3.946
_cell_length_c 12.232
_cell_angle_alpha 90.00
_cell_angle_beta 90.00
_cell_angle_gamma 90.00
_symmetry_space_group_name_H-M 'I m m a'
_symmetry_Int_Tables_number 74
_symmetry_space_group_name_Hall '-I 2b 2'
loop_
_atom_site_label
_atom_site_type_symbol
_atom_site_fract_x
_atom_site_fract_y
_atom_site_fract_z
P1 P 0.000 0.250 0.190
Au1 Au 0.000 0.250 0.921
```

***

[12]
Structure and theoretical X-ray diffraction stick pattern of P5Au (a cell relaxed with PBE; Cu Kα (weighted mean of Kα1 and Kα2)).
Kinematic intensities with the Lorentz-polarization factor, no thermal factor.

Largest 10 diffraction maxima, low angle first, 15 to 90 degrees two-theta:
16.41 deg, rel. 61
17.53 deg, rel. 61
24.58 deg, rel. 33
26.57 deg, rel. 51
31.82 deg, rel. 39
32.20 deg, rel. 24
35.48 deg, rel. 49
35.62 deg, rel. 100
50.39 deg, rel. 40
51.88 deg, rel. 49

Structural model:
```
data_P5Au
_cell_length_a 10.814
_cell_length_b 3.529
_cell_length_c 5.064
_cell_angle_alpha 90.00
_cell_angle_beta 92.28
_cell_angle_gamma 90.00
_symmetry_space_group_name_H-M 'C 1 2/m 1'
_symmetry_Int_Tables_number 12
loop_
_symmetry_equiv_pos_as_xyz
'x,y,z'
'-x,-y,-z'
'-x,y,-z'
'x,-y,z'
'x+1/2,y+1/2,z'
'-x+1/2,-y+1/2,-z'
'-x+1/2,y+1/2,-z'
'x+1/2,-y+1/2,z'
loop_
_atom_site_label
_atom_site_type_symbol
_atom_site_fract_x
_atom_site_fract_y
_atom_site_fract_z
P1 P 0.000 0.000 0.000
P2 P 0.170 0.500 0.024
P3 P 0.178 0.500 0.470
Au1 Au 0.000 0.000 0.500
```